K3HgF8: theoretical powder diffractogram (copper Kα), based on DFT lattice parameters and positions (GGA-PBE).
No peak broadening, texture or thermal motion is included.

The 10 most intense peaks (10 to 90 degrees two-theta), by angle:
2θ/deg  I/Imax  h k l
15.11  27  0 0 2
16.49  88  1 0 1
20.77  21  1 1 0
25.79  100  1 1 2
27.16  16  1 0 3
34.02  17  2 1 1
40.56  18  2 1 3
42.27  25  2 2 0
42.97  48  2 0 4
50.18  30  3 1 2

Cell and atoms:
```
data_K3HgF8
_chemical_formula_sum 'K6 Hg2 F16'
_symmetry_space_group_name_H-M 'I 4/m m m'
_symmetry_Int_Tables_number 139
_symmetry_space_group_name_Hall '-I 4 2'
_cell_length_a 6.0475
_cell_length_b 6.0475
_cell_length_c 11.7278
_cell_angle_alpha 90.00
_cell_angle_beta 90.00
_cell_angle_gamma 90.00
loop_
_atom_site_label
_atom_site_fract_x
_atom_site_fract_y
_atom_site_fract_z
_atom_site_occupancy
K1 0.0000 0.0000 0.0000 1
K2 0.0000 0.5000 0.2500 1
Hg1 0.0000 0.0000 0.5000 1
F1 0.2163 0.2163 0.3888 1
```

=====

K3HgF5: theoretical powder diffractogram (copper Kα), based on DFT lattice parameters and positions (GGA-PBE).
No peak broadening, texture or thermal motion is included.

The 10 most intense peaks (10 to 90 degrees two-theta), by angle:
2θ/deg  I/Imax  h k l
13.09  50  0 0 2
17.35  70  1 1 0
21.80  74  1 1 2
24.63  31  2 0 0
26.36  32  0 0 4
27.99  100  2 0 2
35.11  38  2 2 0
36.39  46  2 0 4
41.70  44  3 1 2
44.43  31  2 2 4

Cell and atoms:
```
data_K3HgF5
_chemical_formula_sum 'K12 Hg4 F20'
_symmetry_space_group_name_H-M 'I 4/m c m'
_symmetry_Int_Tables_number 140
_symmetry_space_group_name_Hall '-I 4 2c'
_cell_length_a 7.2298
_cell_length_b 7.2298
_cell_length_c 13.5221
_cell_angle_alpha 90.00
_cell_angle_beta 90.00
_cell_angle_gamma 90.00
loop_
_atom_site_label
_atom_site_fract_x
_atom_site_fract_y
_atom_site_fract_z
_atom_site_occupancy
K1 0.0000 0.0000 0.2500 1
K2 0.1736 0.3264 0.0000 1
Hg1 0.0000 0.5000 0.2500 1
F1 0.0000 0.0000 0.0000 1
F2 0.1635 0.3365 0.3552 1
```